For In8Cu7Se16, a DFT-relaxed cell (PBE, the Materials Project) gives the simulated X-ray powder pattern in this record (Cu Kα, 1.54184 Å).

Main lines, by angle (2θ = 10–80°):
2θ = 26.41°, I = 90.3
2θ = 27.04°, I = 91.1
2θ = 27.12°, I = 91.3
2θ = 28.13°, I = 100.0
2θ = 41.52°, I = 56.3
2θ = 42.08°, I = 53.2

Crystal structure
```
31
Lattice="8.6069 0.0000 0.0000 -0.6335 10.0790 0.0000 -3.9817 -5.0149 8.6989" Properties=species:S:1:pos:R:3 pbc="T T T"
In 0.0000 0.0000 0.0000
In -2.3677 2.4947 6.5364
In -0.3306 5.0515 4.3445
In 1.9545 2.4515 2.1690
In -0.0038 -0.0406 8.6795
In 2.2596 -2.4759 6.5339
In 4.2790 -0.0064 4.3552
In 5.9603 7.5129 2.2348
Cu 0.0076 0.0149 4.3654
Cu 1.6549 7.5749 2.1934
Cu -0.3575 5.0285 8.6806
Cu 1.9823 2.4954 6.5517
Cu 3.9794 5.0481 4.3433
Cu 6.2764 2.5453 2.1739
Cu 4.3005 -0.0231 8.6900
Se -2.5619 6.3508 4.5470
Se -2.0297 1.3014 4.2192
Se -0.2779 3.7767 2.0542
Se 0.2768 -1.2284 2.3101
Se 1.7158 6.2863 0.1600
Se -1.7197 -3.6788 8.5522
Se -0.0544 -1.3334 6.4060
Se -0.0457 3.7736 6.6394
Se 2.0372 1.2908 4.5031
Se 1.9799 6.3331 4.2325
Se 3.7105 8.8179 2.0473
Se 4.2474 3.7777 2.3156
Se 6.3180 1.2412 0.1473
Se 2.2840 1.3090 8.6124
Se 4.0003 3.8104 6.3876
Se 4.5718 -1.2480 6.6295
```

=====

For MnCrAs, a DFT-relaxed cell (PBE, the Materials Project) gives the simulated X-ray powder pattern in this record (Cu Kα, 1.54184 Å).

Main lines, by angle (2θ = 10–80°):
2θ = 35.48°, I = 25.7
2θ = 38.50°, I = 63.5
2θ = 44.36°, I = 23.2
2θ = 46.56°, I = 100.0
2θ = 51.05°, I = 53.2
2θ = 69.91°, I = 21.3

Crystal structure
```
6
Lattice="3.5780 0.0000 0.0000 0.0000 3.5780 0.0000 0.0000 0.0000 6.1263" Properties=species:S:1:pos:R:3 pbc="T T T"
Mn 0.8945 2.6835 0.0000
Mn 2.6835 0.8945 0.0000
Cr 0.8945 0.8945 2.0505
Cr 2.6835 2.6835 4.0757
As 0.8945 0.8945 4.4603
As 2.6835 2.6835 1.6660
```

=====

For Sr2Si3, a DFT-relaxed cell (PBE, the Materials Project) gives the simulated X-ray powder pattern in this record (Cu Kα, 1.54184 Å).

Main lines, by angle (2θ = 10–80°):
2θ = 23.78°, I = 21.5
2θ = 26.06°, I = 37.7
2θ = 32.02°, I = 100.0
2θ = 37.79°, I = 24.8
2θ = 38.32°, I = 20.7
2θ = 54.92°, I = 16.3

Crystal structure
```
5
Lattice="-1.9639 2.3486 7.4824 1.9639 -2.3486 7.4824 1.9639 2.3486 -7.4824" Properties=species:S:1:pos:R:3 pbc="T T T"
Sr 0.0000 0.0000 0.0000
Sr 0.0000 2.3486 3.6203
Si 1.9639 0.0000 2.5273
Si 1.9639 0.0000 4.8355
Si 0.0000 0.0000 6.2082
```

=====

For NbSe4, a DFT-relaxed cell (PBE, the Materials Project) gives the simulated X-ray powder pattern in this record (Cu Kα, 1.54184 Å).

Main lines, by angle (2θ = 10–80°):
2θ = 14.74°, I = 63.8
2θ = 27.21°, I = 24.7
2θ = 34.57°, I = 38.4
2θ = 36.12°, I = 100.0
2θ = 47.86°, I = 27.9
2θ = 54.10°, I = 30.9

Crystal structure
```
60
Lattice="8.4994 0.0000 0.0000 0.0000 8.4994 0.0000 0.0000 0.0000 19.6606" Properties=species:S:1:pos:R:3 pbc="T T T"
Nb 2.1249 2.1249 1.4169
Nb 2.1249 2.1249 5.1094
Nb 2.1249 2.1249 8.1732
Nb 2.1249 2.1249 11.2472
Nb 2.1249 2.1249 14.9397
Nb 2.1249 2.1249 18.0035
Nb 6.3746 6.3746 1.6571
Nb 6.3746 6.3746 4.7209
Nb 6.3746 6.3746 8.4135
Nb 6.3746 6.3746 11.4874
Nb 6.3746 6.3746 14.5512
Nb 6.3746 6.3746 18.2438
Se 0.0706 1.3263 6.5724
Se 0.0706 2.9234 16.4027
Se 0.1115 1.2594 19.6138
Se 0.1115 2.9903 9.7835
Se 0.2608 1.2483 13.0977
Se 0.2608 3.0014 3.2674
Se 1.2483 0.2608 3.2674
Se 1.2483 3.9890 13.0977
Se 1.2594 0.1115 9.7835
Se 1.2594 4.1382 19.6138
Se 1.3263 0.0706 16.4027
Se 1.3263 4.1791 6.5724
Se 2.9234 0.0706 6.5724
Se 2.9234 4.1791 16.4027
Se 2.9903 0.1115 19.6138
Se 2.9903 4.1382 9.7835
Se 3.0014 0.2608 13.0977
Se 3.0014 3.9890 3.2674
Se 3.9890 1.2483 3.2674
Se 3.9890 3.0014 13.0977
Se 4.1382 1.2594 9.7835
Se 4.1382 2.9903 19.6138
Se 4.1791 1.3263 16.4027
Se 4.1791 2.9234 6.5724
Se 4.3204 5.5760 13.0883
Se 4.3204 7.1731 3.2579
Se 4.3612 5.5091 0.0469
Se 4.3612 7.2400 9.8772
Se 4.5105 5.4980 6.5629
Se 4.5105 7.2511 16.3932
Se 5.4980 4.5105 16.3932
Se 5.4980 8.2387 6.5629
Se 5.5091 4.3612 9.8772
Se 5.5091 8.3879 0.0469
Se 5.5760 4.3204 3.2579
Se 5.5760 8.4288 13.0883
Se 7.1731 4.3204 13.0883
Se 7.1731 8.4288 3.2579
Se 7.2400 4.3612 0.0469
Se 7.2400 8.3879 9.8772
Se 7.2511 4.5105 6.5629
Se 7.2511 8.2387 16.3932
Se 8.2387 5.4980 16.3932
Se 8.2387 7.2511 6.5629
Se 8.3879 5.5091 9.8772
Se 8.3879 7.2400 0.0469
Se 8.4288 5.5760 3.2579
Se 8.4288 7.1731 13.0883
```

=====

For Sr2GaCuSO3, a DFT-relaxed cell (PBE, the Materials Project) gives the simulated X-ray powder pattern in this record (Cu Kα, 1.54184 Å).

Main lines, by angle (2θ = 10–80°):
2θ = 32.20°, I = 100.0
2θ = 32.44°, I = 32.3
2θ = 39.82°, I = 34.4
2θ = 46.53°, I = 46.8
2θ = 57.27°, I = 23.0
2θ = 57.72°, I = 37.1

Crystal structure
```
16
Lattice="3.9032 0.0000 0.0000 0.0000 3.9032 0.0000 0.0000 0.0000 15.8384" Properties=species:S:1:pos:R:3 pbc="T T T"
Sr 0.9758 0.9758 1.3749
Sr 0.9758 0.9758 5.0168
Sr 2.9274 2.9274 10.8217
Sr 2.9274 2.9274 14.4636
Ga 0.9758 0.9758 12.8489
Ga 2.9274 2.9274 2.9896
Cu 0.9758 2.9274 7.9192
Cu 2.9274 0.9758 7.9192
S 0.9758 0.9758 9.3394
S 2.9274 2.9274 6.4991
O 0.9758 0.9758 14.7476
O 0.9758 2.9274 3.3697
O 0.9758 2.9274 12.4687
O 2.9274 0.9758 3.3697
O 2.9274 0.9758 12.4687
O 2.9274 2.9274 1.0909
```